(1)
Structure and computed X-ray diffraction stick pattern of Ca5LaTe6 (a GGA-PBE-relaxed structure; copper Kα).
No peak broadening, texture or thermal motion is included.

Top 10 peaks for 10 to 90 degrees two-theta, in order of rising 2θ:
2θ/deg  d [Å]  I (rel.)
24.07  3.697  24
27.87  3.201  100
39.82  2.264  75
47.07  1.931  13
49.30  1.848  27
57.58  1.601  12
63.31  1.469  5
65.16  1.432  34
72.29  1.307  25
85.86  1.132  8

Structure:
Unit cell a=7.8416 b=13.5792 c=7.8447 alpha=90.00 beta=109.48 gamma=90.00
Space group C2/m (No. 12)
Inequivalent atoms, fractional coordinates:
Ca1 0.0000 0.0000 0.0000
Ca2 0.0000 0.1670 0.5000
Ca3 0.0000 0.3343 0.0000
La1 0.0000 0.5000 0.5000
Te1 0.2470 0.0000 0.7519
Te2 0.2474 0.1683 0.2477

---

(2)
Structure and computed X-ray diffraction stick pattern of NdSmYHo3 (a GGA-PBE-relaxed structure; copper Kα).
No peak broadening, texture or thermal motion is included.

Top 10 peaks for 10 to 90 degrees two-theta, in order of rising 2θ:
2θ/deg  d [Å]  I (rel.)
14.59  6.071  1
20.48  4.336  1
30.61  2.921  100
35.49  2.530  51
51.06  1.789  36
60.72  1.525  43
63.72  1.460  12
75.11  1.265  6
83.25  1.161  18
85.92  1.131  16

Structure:
Unit cell a=5.0578 b=15.1754 c=10.1221 alpha=90.00 beta=90.00 gamma=90.00
Space group Cmcm (No. 63)
Inequivalent atoms, fractional coordinates:
Nd1 0.0000 0.0000 0.0000
Sm1 0.0000 0.4990 0.2500
Y1 0.0000 0.1680 0.2500
Ho1 0.0000 0.1675 0.7500
Ho2 0.0000 0.3319 0.0001

---

(3)
Structure and computed X-ray diffraction stick pattern of Hg4Pb10Au (a GGA-PBE-relaxed structure; copper Kα).
No peak broadening, texture or thermal motion is included.

Top 10 peaks for 10 to 90 degrees two-theta, in order of rising 2θ:
2θ/deg  d [Å]  I (rel.)
20.47  4.340  24
22.03  4.035  54
33.59  2.668  57
34.75  2.582  100
34.86  2.574  99
37.48  2.399  42
40.02  2.253  22
60.59  1.528  19
60.73  1.525  20
60.95  1.520  20

Structure:
Unit cell a=15.3233 b=7.4566 c=11.0093 alpha=90.00 beta=130.62 gamma=90.00
Space group C2/m (No. 12)
Inequivalent atoms, fractional coordinates:
Hg1 0.0976 0.0000 0.3954
Hg2 0.2026 0.5000 0.8020
Pb1 0.0000 0.2716 0.5000
Pb2 0.0979 0.2401 0.9042
Pb3 0.1964 0.2763 0.2951
Au1 0.0000 0.5000 0.0000

---

(4)
Structure and computed X-ray diffraction stick pattern of Er2CoOs3 (a GGA-PBE-relaxed structure; copper Kα).
No peak broadening, texture or thermal motion is included.

Top 10 peaks for 10 to 90 degrees two-theta, in order of rising 2θ:
2θ/deg  d [Å]  I (rel.)
20.55  4.323  16
33.97  2.639  40
40.03  2.253  30
40.25  2.241  100
40.33  2.236  22
42.15  2.144  42
61.06  1.517  15
64.95  1.436  16
71.50  1.320  21
72.00  1.312  20

Structure:
Unit cell a=9.0829 b=5.2482 c=5.2798 alpha=90.00 beta=125.04 gamma=90.00
Space group C2/m (No. 12)
Inequivalent atoms, fractional coordinates:
Er1 0.1242 0.0000 0.3724
Co1 0.0000 0.5000 0.5000
Os1 0.0000 0.5000 0.0000
Os2 0.2500 0.2500 0.0000

---

(5)
Structure and computed X-ray diffraction stick pattern of In2GaAg5 (a GGA-PBE-relaxed structure; copper Kα).
No peak broadening, texture or thermal motion is included.

Top 10 peaks for 10 to 90 degrees two-theta, in order of rising 2θ:
2θ/deg  d [Å]  I (rel.)
36.09  2.489  100
36.71  2.448  50
37.49  2.399  47
42.42  2.131  63
42.69  2.118  32
61.22  1.514  20
62.30  1.490  19
73.85  1.283  11
74.23  1.278  11
75.22  1.263  16

Structure:
Unit cell a=5.1126 b=12.3018 c=9.9090 alpha=90.00 beta=98.75 gamma=90.00
Space group P2_1/c (No. 14)
Inequivalent atoms, fractional coordinates:
In1 0.1210 0.0722 0.1242
In2 0.3701 0.5669 0.8743
Ga1 0.3727 0.2074 0.3725
Ag1 0.1244 0.6938 0.6247
Ag2 0.1275 0.1815 0.6229
Ag3 0.1285 0.5657 0.1249
Ag4 0.3762 0.0581 0.8738
Ag5 0.3783 0.6878 0.3745

---

(6)
Structure and computed X-ray diffraction stick pattern of Pm4ZrCd5 (a GGA-PBE-relaxed structure; copper Kα).
No peak broadening, texture or thermal motion is included.

Top 10 peaks for 10 to 90 degrees two-theta, in order of rising 2θ:
2θ/deg  d [Å]  I (rel.)
30.35  2.945  7
33.55  2.671  100
33.82  2.651  54
47.79  1.903  7
48.57  1.874  19
59.82  1.546  13
60.33  1.534  36
70.52  1.335  8
80.99  1.187  8
81.13  1.185  8

Structure:
Unit cell a=3.7486 b=3.7486 c=19.0338 alpha=90.00 beta=90.00 gamma=90.00
Space group P4/mmm (No. 123)
Inequivalent atoms, fractional coordinates:
Pm1 0.0000 0.0000 0.1044
Pm2 0.0000 0.0000 0.3124
Zr1 0.0000 0.0000 0.5000
Cd1 0.5000 0.5000 0.0000
Cd2 0.5000 0.5000 0.2079
Cd3 0.5000 0.5000 0.4162